1.
The following is a theoretical powder diffraction line list of CeU4O10. It was derived from a cell relaxed with PBE, using copper Kα.
Neutral-atom scattering factors, no anomalous dispersion.

Structural model:
```
CeU4O10
1.0
1.922 1.110 15.665
-1.922 1.110 15.665
0.000 -2.219 15.665
Ce U O
1 4 10
direct
0.000 0.000 0.000
0.200 0.200 0.200
0.400 0.400 0.400
0.600 0.600 0.600
0.800 0.800 0.800
0.053 0.053 0.053
0.150 0.150 0.150
0.249 0.249 0.249
0.352 0.352 0.352
0.450 0.450 0.450
0.550 0.550 0.550
0.648 0.648 0.648
0.751 0.751 0.751
0.850 0.850 0.850
0.947 0.947 0.947
```

Peak list (10 most intense, 10° ≤ 2θ ≤ 90°, most intense first)
28.5 deg, I = 100.0; 47.3 deg, I = 49.8; 56.2 deg, I = 46.8; 33.0 deg, I = 36.2; 76.4 deg, I = 14.9; 78.8 deg, I = 14.9; 88.0 deg, I = 13.2; 58.9 deg, I = 10.5; 69.2 deg, I = 8.0; 76.5 deg, I = 4.9

2.
The following is a theoretical powder diffraction line list of LaPr4Tm. It was derived from a cell relaxed with PBE, using copper Kα.
Neutral-atom scattering factors, no anomalous dispersion.

Structural model:
```
LaPr4Tm
1.0
2.610 -7.872 0.000
2.610 7.872 0.000
0.000 0.000 5.175
La Pr Tm
1 4 1
direct
0.000 0.000 0.000
0.166 0.834 0.500
0.335 0.665 0.000
0.665 0.335 0.000
0.834 0.166 0.500
0.500 0.500 0.500
```

Peak list (10 most intense, 10° ≤ 2θ ≤ 90°, most intense first)
29.7 deg, I = 100.0; 34.2 deg, I = 17.2; 34.4 deg, I = 17.0; 34.7 deg, I = 16.6; 58.4 deg, I = 14.7; 58.7 deg, I = 14.6; 59.1 deg, I = 14.2; 61.6 deg, I = 12.5; 49.2 deg, I = 12.3; 49.5 deg, I = 12.1

3.
The following is a theoretical powder diffraction line list of SrIn2Pd4. It was derived from a cell relaxed with PBE, using copper Kα.
Neutral-atom scattering factors, no anomalous dispersion.

Structural model:
```
SrIn2Pd4
1.0
8.120 0.000 0.000
0.000 8.120 0.000
0.000 0.000 4.353
Sr In Pd
2 4 8
direct
0.000 0.000 0.000
0.500 0.500 0.500
0.221 0.221 0.500
0.279 0.721 0.000
0.721 0.279 0.000
0.779 0.779 0.500
0.091 0.649 0.500
0.149 0.409 0.000
0.351 0.909 0.500
0.409 0.149 0.000
0.591 0.851 0.000
0.649 0.091 0.500
0.851 0.591 0.000
0.909 0.351 0.500
```

Peak list (10 most intense, 10° ≤ 2θ ≤ 90°, most intense first)
40.8 deg, I = 100.0; 32.1 deg, I = 65.3; 37.5 deg, I = 63.6; 41.5 deg, I = 41.1; 34.9 deg, I = 30.6; 46.1 deg, I = 26.3; 15.4 deg, I = 26.2; 63.7 deg, I = 19.4; 31.2 deg, I = 18.2; 55.3 deg, I = 16.0

Question: What is the formula in the second record?
Answer: LaPr4Tm